The following is a calculated X-ray diffraction stick pattern of Tb5Sm3S8. It was derived from DFT lattice parameters and positions (GGA-PBE), using Cu Kα (weighted mean of Kα1 and Kα2).

Largest 10 diffraction maxima, in order of rising 2θ, 10 to 90 degrees two-theta:
- 27.6 deg, intensity 79.5, (2 0 2)
- 32.0 deg, intensity 100.0, (0 2 4)
- 45.8 deg, intensity 72.1, (2 2 0)
- 54.3 deg, intensity 29.3, (0 2 10)
- 54.4 deg, intensity 9.7, (0 4 2)
- 57.0 deg, intensity 18.7, (4 0 4)
- 66.8 deg, intensity 11.5, (0 4 8)
- 76.0 deg, intensity 16.0, (2 2 12)
- 76.1 deg, intensity 16.0, (2 4 4)
- 84.9 deg, intensity 18.4, (6 0 0)

Structure:
Lattice parameters (Å, degrees): 7.9119 7.9119 19.4277 90.00 90.00 120.00
Space group R-3m (No. 166, hexagonal axes)
Symmetry-distinct sites (fractional):
Tb1 0.0000 0.0000 0.0000
Tb2 0.0000 0.0000 0.5000
Tb3 0.0000 0.5000 0.0000
Sm1 0.0000 0.5000 0.5000
S1 0.0000 0.0000 0.2528
S2 0.0036 0.5018 0.2518

---

The following is a calculated X-ray diffraction stick pattern of NaNdP2O8. It was derived from DFT lattice parameters and positions (GGA-PBE), using Cu Kα (weighted mean of Kα1 and Kα2).

Largest 10 diffraction maxima, in order of rising 2θ, 10 to 90 degrees two-theta:
- 17.6 deg, intensity 47.6, (1 1 0)
- 18.8 deg, intensity 54.2, (1 0 1)
- 24.9 deg, intensity 100.0, (2 0 0)
- 31.4 deg, intensity 27.0, (2 1 1)
- 33.5 deg, intensity 60.9, (1 1 2)
- 38.0 deg, intensity 22.4, (2 0 2)
- 40.5 deg, intensity 23.0, (3 0 1)
- 48.1 deg, intensity 23.2, (3 2 1)
- 49.6 deg, intensity 48.6, (3 1 2)
- 70.3 deg, intensity 16.2, (2 2 4)

Structure:
Lattice parameters (Å, degrees): 7.141 7.141 6.318 90.00 90.00 90.00
Space group I-4m2 (No. 119)
Symmetry-distinct sites (fractional):
Na1 0.000 0.000 0.000
Nd1 0.000 0.500 0.250
P1 0.000 0.000 0.500
P2 0.000 0.500 0.750
O1 0.000 0.175 0.355
O2 0.000 0.328 0.900

---

The following is a calculated X-ray diffraction stick pattern of Li6AsS5I. It was derived from DFT lattice parameters and positions (GGA-PBE), using Cu Kα (weighted mean of Kα1 and Kα2).

Largest 10 diffraction maxima, in order of rising 2θ, 10 to 90 degrees two-theta:
- 17.1 deg, intensity 78.6, (0 1 1)
- 17.3 deg, intensity 39.1, (1 0 1)
- 24.2 deg, intensity 67.8, (0 1 -1)
- 24.5 deg, intensity 100.0, (1 2 1)
- 24.7 deg, intensity 32.2, (2 1 1)
- 28.6 deg, intensity 18.8, (-1 1 1)
- 29.6 deg, intensity 23.9, (0 0 2)
- 29.9 deg, intensity 23.0, (0 2 0)
- 42.6 deg, intensity 23.1, (0 1 3)
- 50.1 deg, intensity 34.0, (2 4 2)

Structure:
Lattice parameters (Å, degrees): 7.208 7.274 7.287 60.96 60.99 60.40
Space group P1 (No. 1)
Symmetry-distinct sites (fractional):
Li1 0.000 0.000 0.000
Li2 0.005 0.553 0.618
Li3 0.474 0.574 0.630
Li4 0.482 0.166 0.010
Li5 0.632 0.542 0.024
Li6 0.983 0.203 0.469
As1 0.526 0.076 0.532
S1 0.388 0.967 0.408
S2 0.407 0.947 0.896
S3 0.409 0.443 0.416
S4 0.772 0.330 0.786
S5 0.895 0.954 0.402
I1 0.041 0.563 0.014

---

The following is a calculated X-ray diffraction stick pattern of Na2TiV2Se6. It was derived from DFT lattice parameters and positions (GGA-PBE), using Cu Kα (weighted mean of Kα1 and Kα2).

Largest 10 diffraction maxima, in order of rising 2θ, 10 to 90 degrees two-theta:
- 12.2 deg, intensity 77.3, (0 0 1)
- 29.7 deg, intensity 25.9, (1 3 -1)
- 32.7 deg, intensity 100.0, (1 3 1)
- 33.2 deg, intensity 53.5, (2 0 -2)
- 40.6 deg, intensity 22.3, (1 3 2)
- 43.3 deg, intensity 14.8, (2 0 2)
- 44.4 deg, intensity 32.2, (1 3 -3)
- 50.0 deg, intensity 32.5, (3 3 -1)
- 50.4 deg, intensity 15.3, (0 6 0)
- 61.7 deg, intensity 15.4, (2 6 -2)

Structure:
Lattice parameters (Å, degrees): 6.330 10.869 7.474 90.00 104.75 90.00
Space group C2/m (No. 12)
Symmetry-distinct sites (fractional):
Na1 0.000 0.175 0.000
Ti1 0.000 0.000 0.500
V1 0.000 0.350 0.500
Se1 0.225 0.171 0.699
Se2 0.231 0.500 0.718

---

The following is a calculated X-ray diffraction stick pattern of ErMgNi17. It was derived from DFT lattice parameters and positions (GGA-PBE), using Cu Kα (weighted mean of Kα1 and Kα2).

Largest 10 diffraction maxima, in order of rising 2θ, 10 to 90 degrees two-theta:
- 14.5 deg, intensity 28.0, (1 0 1)
- 37.9 deg, intensity 36.5, (3 0 0)
- 39.3 deg, intensity 29.8, (0 2 4)
- 44.1 deg, intensity 61.8, (2 2 0)
- 44.4 deg, intensity 100.0, (0 3 3)
- 45.3 deg, intensity 49.5, (0 0 6)
- 45.6 deg, intensity 21.1, (2 0 5)
- 49.9 deg, intensity 52.1, (2 2 3)
- 65.0 deg, intensity 21.9, (2 2 6)
- 83.0 deg, intensity 21.7, (0 3 9)

Structure:
Lattice parameters (Å, degrees): 8.2142 8.2142 12.0169 90.00 90.00 120.00
Space group R3m (No. 160, hexagonal axes)
Symmetry-distinct sites (fractional):
Er1 0.0000 0.0000 0.0000
Mg1 0.0000 0.0000 0.3195
Ni1 0.0000 0.0000 0.5587
Ni2 0.0000 0.0000 0.7579
Ni3 0.0375 0.3698 0.3264
Ni4 0.1680 0.3360 0.4935
Ni5 0.1684 0.3367 0.1458
Ni6 0.1694 0.3388 0.8399

---

The following is a calculated X-ray diffraction stick pattern of LiHfGa5. It was derived from DFT lattice parameters and positions (GGA-PBE), using Cu Kα (weighted mean of Kα1 and Kα2).

Largest 10 diffraction maxima, in order of rising 2θ, 10 to 90 degrees two-theta:
- 13.5 deg, intensity 36.7, (0 0 1)
- 32.6 deg, intensity 79.3, (1 1 1)
- 40.6 deg, intensity 100.0, (1 1 2)
- 41.3 deg, intensity 21.1, (0 0 3)
- 42.2 deg, intensity 53.8, (2 0 0)
- 60.5 deg, intensity 28.3, (2 0 3)
- 61.3 deg, intensity 17.5, (2 2 0)
- 71.1 deg, intensity 16.3, (3 1 1)
- 76.1 deg, intensity 30.4, (3 1 2)
- 79.7 deg, intensity 15.5, (1 1 5)

Structure:
Lattice parameters (Å, degrees): 4.280 4.280 6.559 90.00 90.00 90.00
Space group P4/mmm (No. 123)
Symmetry-distinct sites (fractional):
Li1 0.000 0.000 0.000
Hf1 0.000 0.000 0.500
Ga1 0.000 0.500 0.203
Ga2 0.500 0.500 0.500